(1)
Calculated powder diffractogram
Compound: KLiBeF4
Radiation: Cu Kα
Structure: a cell relaxed with GGA-PBE
No peak broadening, texture or thermal motion is included.

Crystal structure
Unit cell a=5.1391 b=5.1391 c=8.7457 alpha=90.00 beta=90.00 gamma=120.00
Positions (direct):
K 0.0000 0.0000 0.0000
K 0.0000 0.0000 0.5000
Li 0.3333 0.6667 0.3050
Li 0.6667 0.3333 0.8050
Be 0.3333 0.6667 0.6973
Be 0.6667 0.3333 0.1973
F 0.0419 0.3794 0.7528
F 0.3333 0.6667 0.5180
F 0.3374 0.9581 0.7528
F 0.3794 0.3374 0.2528
F 0.6206 0.6626 0.7528
F 0.6626 0.0419 0.2528
F 0.6667 0.3333 0.0180
F 0.9581 0.6206 0.2528

Most intense lines, 2θ from 10° to 90°, low angle first:
two_theta	d_spacing	I/Imax
20.0	4.451	210
22.4	3.966	518
28.6	3.119	798
34.9	2.570	263
36.4	2.465	533
40.7	2.215	1000
41.3	2.186	377
47.1	1.928	220
62.6	1.484	249
77.8	1.228	186

---

(2)
Calculated powder diffractogram
Compound: ZnGa2S4
Radiation: Cu Kα
Structure: a cell relaxed with GGA-PBE
No peak broadening, texture or thermal motion is included.

Crystal structure
Unit cell a=13.7435 b=11.6974 c=11.1950 alpha=73.75 beta=54.80 gamma=51.45
Positions (direct):
Zn 0.1193 0.6307 0.1193
Zn 0.1250 0.1250 0.1250
Zn 0.3693 0.8807 0.3693
Zn 0.3750 0.3750 0.3750
Zn 0.6250 0.6250 0.6250
Zn 0.6307 0.1193 0.6307
Zn 0.8750 0.8750 0.8750
Zn 0.8807 0.3693 0.8807
Ga 0.0317 0.8592 0.4650
Ga 0.1137 0.3636 0.3840
Ga 0.1408 0.9683 0.8558
Ga 0.1442 0.4650 0.8592
Ga 0.3612 0.6160 0.6364
Ga 0.3636 0.1137 0.6388
Ga 0.3840 0.6388 0.1137
Ga 0.4650 0.1442 0.0317
Ga 0.5350 0.8558 0.9683
Ga 0.6160 0.3612 0.8863
Ga 0.6364 0.8863 0.3612
Ga 0.6388 0.3840 0.3636
Ga 0.8558 0.5350 0.1408
Ga 0.8592 0.0317 0.1442
Ga 0.8863 0.6364 0.6160
Ga 0.9683 0.1408 0.5350
S 0.0868 0.4109 0.0956
S 0.0933 0.9044 0.5891
S 0.0956 0.9067 0.0868
S 0.1007 0.4110 0.5804
S 0.1476 0.1628 0.8510
S 0.1490 0.6614 0.8524
S 0.1628 0.1476 0.3386
S 0.1772 0.6511 0.3108
S 0.3108 0.3608 0.1772
S 0.3386 0.8510 0.1628
S 0.3489 0.8228 0.6392
S 0.3608 0.3108 0.6511
S 0.4080 0.5804 0.4110
S 0.4109 0.0868 0.9067
S 0.4110 0.1007 0.4080
S 0.4196 0.5920 0.8993
S 0.5804 0.4080 0.1007
S 0.5890 0.8993 0.5920
S 0.5891 0.9132 0.0933
S 0.5920 0.4196 0.5890
S 0.6392 0.6892 0.3489
S 0.6511 0.1772 0.3608
S 0.6614 0.1490 0.8372
S 0.6892 0.6392 0.8228
S 0.8228 0.3489 0.6892
S 0.8372 0.8524 0.6614
S 0.8510 0.3386 0.1476
S 0.8524 0.8372 0.1490
S 0.8993 0.5890 0.4196
S 0.9044 0.0933 0.9132
S 0.9067 0.0956 0.4109
S 0.9132 0.5891 0.9044

Most intense lines, 2θ from 10° to 90°, low angle first:
two_theta	d_spacing	I/Imax
18.8	4.709	311
23.9	3.726	145
25.6	3.484	762
30.6	2.922	490
32.1	2.791	178
35.9	2.499	216
38.2	2.354	374
39.7	2.269	1000
49.7	1.833	266
56.6	1.625	156

---

(3)
Calculated powder diffractogram
Compound: LaNdNi2
Radiation: Cu Kα
Structure: a cell relaxed with GGA-PBE
No peak broadening, texture or thermal motion is included.

Crystal structure
Unit cell a=3.7782 b=7.0119 c=12.1322 alpha=89.63 beta=89.94 gamma=89.93
Positions (direct):
La 0.0000 0.0000 0.0000
La 0.0000 0.2519 0.2505
La 0.0000 0.7481 0.7495
Nd 0.0000 0.0000 0.5000
Nd 0.0000 0.5000 0.0000
Nd 0.0000 0.5000 0.5000
Ni 0.5001 0.2480 0.0832
Ni 0.5001 0.2507 0.4158
Ni 0.5000 0.2507 0.7496
Ni 0.5000 0.7493 0.2504
Ni 0.4999 0.7493 0.5842
Ni 0.4999 0.7520 0.9168

Most intense lines, 2θ from 10° to 90°, low angle first:
two_theta	d_spacing	I/Imax
14.6	6.070	891
23.5	3.778	246
27.8	3.208	387
29.3	3.044	501
29.5	3.030	1000
34.9	2.571	815
35.0	2.565	405
38.0	2.369	762
38.1	2.363	748
48.2	1.889	272

---

(4)
Calculated powder diffractogram
Compound: OsO4
Radiation: Cu Kα
Structure: a cell relaxed with GGA-PBE
No peak broadening, texture or thermal motion is included.

Crystal structure
Unit cell a=5.4397 b=5.4397 c=8.9589 alpha=113.20 beta=113.20 gamma=51.78
Positions (direct):
Os 0.2442 0.7558 0.7500
Os 0.7558 0.2442 0.2500
O 0.0776 0.1454 0.4163
O 0.1454 0.0776 0.9163
O 0.3399 0.4312 0.8048
O 0.4312 0.3399 0.3048
O 0.5688 0.6601 0.6952
O 0.6601 0.5688 0.1952
O 0.8546 0.9224 0.0837
O 0.9224 0.8546 0.5837

Most intense lines, 2θ from 10° to 90°, low angle first:
two_theta	d_spacing	I/Imax
20.2	4.400	594
21.8	4.073	1000
22.1	4.027	476
22.5	3.956	451
26.0	3.430	628
33.4	2.683	290
35.8	2.509	234
39.1	2.306	187
41.7	2.167	151
51.8	1.766	174

---

(5)
Calculated powder diffractogram
Compound: RbTmP2O7
Radiation: Cu Kα
Structure: a cell relaxed with GGA-PBE
No peak broadening, texture or thermal motion is included.

Crystal structure
Unit cell a=7.8360 b=10.9211 c=8.7585 alpha=90.00 beta=105.49 gamma=90.00
Positions (direct):
Rb 0.1815 0.1823 0.0559
Rb 0.1815 0.3177 0.5559
Rb 0.8185 0.6823 0.4441
Rb 0.8185 0.8177 0.9441
Tm 0.2390 0.5993 0.2587
Tm 0.2390 0.9007 0.7587
Tm 0.7610 0.0993 0.2413
Tm 0.7610 0.4007 0.7413
P 0.1322 0.5977 0.8258
P 0.1322 0.9023 0.3258
P 0.4334 0.6327 0.6916
P 0.4334 0.8673 0.1916
P 0.5666 0.1327 0.8084
P 0.5666 0.3673 0.3084
P 0.8678 0.0977 0.6742
P 0.8678 0.4023 0.1742
O 0.0034 0.5026 0.7285
O 0.0034 0.9974 0.2285
O 0.0841 0.7275 0.7597
O 0.0841 0.7725 0.2597
O 0.1507 0.5901 0.0021
O 0.1507 0.9099 0.5021
O 0.3260 0.5614 0.8018
O 0.3260 0.9386 0.3018
O 0.3287 0.6075 0.5205
O 0.3287 0.8925 0.0205
O 0.3825 0.0745 0.7656
O 0.3825 0.4255 0.2656
O 0.4465 0.7320 0.2400
O 0.4465 0.7680 0.7400
O 0.5535 0.2320 0.2600
O 0.5535 0.2680 0.7600
O 0.6175 0.5745 0.7344
O 0.6175 0.9255 0.2344
O 0.6713 0.1075 0.9795
O 0.6713 0.3925 0.4795
O 0.6740 0.0614 0.6982
O 0.6740 0.4386 0.1982
O 0.8493 0.0901 0.4979
O 0.8493 0.4099 0.9979
O 0.9159 0.2275 0.7403
O 0.9159 0.2725 0.2403
O 0.9966 0.0026 0.7715
O 0.9966 0.4974 0.2715

Most intense lines, 2θ from 10° to 90°, low angle first:
two_theta	d_spacing	I/Imax
14.3	6.211	402
15.7	5.627	490
21.1	4.220	434
22.7	3.913	242
23.6	3.776	307
27.2	3.279	677
28.1	3.181	525
28.4	3.147	1000
31.9	2.805	254
43.7	2.072	285

---

(6)
Calculated powder diffractogram
Compound: CoH
Radiation: Cu Kα
Structure: a cell relaxed with GGA-PBE
No peak broadening, texture or thermal motion is included.

Crystal structure
Unit cell a=2.6188 b=2.6188 c=2.6188 alpha=60.00 beta=60.00 gamma=60.00
Positions (direct):
Co 0.0000 0.0000 0.0000
H 0.5000 0.5000 0.5000

Most intense lines, 2θ from 10° to 90°, low angle first:
two_theta	d_spacing	I/Imax
42.3	2.138	1000
49.2	1.852	502
72.1	1.309	285
87.3	1.117	323

---

(7)
Calculated powder diffractogram
Compound: SrH6C4O7
Radiation: Cu Kα
Structure: a cell relaxed with GGA-PBE
No peak broadening, texture or thermal motion is included.

Crystal structure
Unit cell a=7.4370 b=7.4370 c=8.5692 alpha=96.92 beta=96.92 gamma=53.92
Positions (direct):
Sr 0.0138 0.9862 0.7500
Sr 0.9862 0.0138 0.2500
H 0.1156 0.5126 0.1459
H 0.1454 0.5926 0.9926
H 0.4074 0.8546 0.5074
H 0.4470 0.4651 0.6810
H 0.4651 0.4470 0.1810
H 0.4874 0.8844 0.3541
H 0.5126 0.1156 0.6459
H 0.5349 0.5530 0.8190
H 0.5530 0.5349 0.3190
H 0.5926 0.1454 0.4926
H 0.8546 0.4074 0.0074
H 0.8844 0.4874 0.8541
C 0.0165 0.4492 0.3805
C 0.0285 0.6170 0.4821
C 0.3830 0.9715 0.0179
C 0.4492 0.0165 0.8805
C 0.5508 0.9835 0.1195
C 0.6170 0.0285 0.9821
C 0.9715 0.3830 0.5179
C 0.9835 0.5508 0.6195
O 0.0373 0.3803 0.2370
O 0.0614 0.7625 0.4673
O 0.1676 0.5966 0.1077
O 0.2375 0.9386 0.0327
O 0.3803 0.0373 0.7370
O 0.3994 0.6006 0.7500
O 0.4034 0.8324 0.3923
O 0.5966 0.1676 0.6077
O 0.6006 0.3994 0.2500
O 0.6197 0.9627 0.2630
O 0.7625 0.0614 0.9673
O 0.8324 0.4034 0.8923
O 0.9386 0.2375 0.5327
O 0.9627 0.6197 0.7630

Most intense lines, 2θ from 10° to 90°, low angle first:
two_theta	d_spacing	I/Imax
13.5	6.568	211
14.8	5.999	1000
20.9	4.245	157
23.4	3.808	225
26.5	3.368	198
29.8	2.999	449
32.1	2.786	220
34.0	2.638	331
36.8	2.445	260
37.8	2.380	237